1.
For MgV2Ag6O8, the PBE+U geometry in the Materials Project gives the computed powder diffraction line list in this record (λ = 1.5418 Å (Cu Kα)).
Kinematic intensities with the Lorentz-polarization factor, no thermal factor.

Structure:
```
MgV2Ag6O8
1.0
5.5867 0.0000 0.0000
2.6796 5.1090 0.0000
1.1600 0.1138 9.7247
Mg V Ag O
1 2 6 8
Direct
0.0000 0.0000 0.0000
0.2390 0.9691 0.7263
0.7610 0.0309 0.2737
0.0000 0.5000 0.5000
0.0125 0.5322 0.8657
0.3102 0.7993 0.3942
0.5000 0.5000 0.0000
0.6898 0.2007 0.6058
0.9875 0.4678 0.1343
0.0896 0.9983 0.2127
0.2172 0.2779 0.6690
0.3719 0.8836 0.8865
0.4223 0.7238 0.6084
0.5777 0.2762 0.3916
0.6281 0.1164 0.1135
0.7828 0.7221 0.3310
0.9104 0.0017 0.7873
```

The 8 most intense peaks (2θ = 10–90°), most intense first:
2theta  I_rel
32.29  100.0
25.14  95.9
31.50  90.6
34.98  58.5
31.14  54.0
30.48  34.6
48.53  30.1
17.36  29.5


2.
For MnAgO2, the PBE+U geometry in the Materials Project gives the computed powder diffraction line list in this record (λ = 1.5418 Å (Cu Kα)).
Kinematic intensities with the Lorentz-polarization factor, no thermal factor.

Structure:
```
MnAgO2
1.0
3.1281 0.0000 0.0000
-1.5640 2.7090 0.0000
0.0000 0.0000 12.4741
Mn Ag O
2 2 4
Direct
0.0000 0.0000 0.0000
0.0000 0.0000 0.5000
0.3333 0.6667 0.2500
0.6667 0.3333 0.7500
0.3333 0.6667 0.0807
0.3333 0.6667 0.4193
0.6667 0.3333 0.5807
0.6667 0.3333 0.9193
```

The 8 most intense peaks (2θ = 10–90°), most intense first:
2theta  I_rel
33.86  100.0
36.15  71.8
28.62  49.4
49.68  32.6
59.06  28.4
55.73  28.3
39.71  24.8
66.93  24.3


3.
For MnAgO2, the PBE+U geometry in the Materials Project gives the computed powder diffraction line list in this record (λ = 1.5418 Å (Cu Kα)).
Kinematic intensities with the Lorentz-polarization factor, no thermal factor.

Structure:
```
MnAgO2
1.0
2.9601 0.0000 0.0000
0.0000 12.5595 0.0000
-1.4673 0.0000 2.8435
Mn Ag O
2 2 4
Direct
0.0008 0.0000 0.0008
0.9992 0.5000 0.9992
0.3658 0.2500 0.7426
0.6342 0.7500 0.2574
0.3580 0.4180 0.7200
0.3594 0.0820 0.7215
0.6406 0.5820 0.2785
0.6420 0.9180 0.2800
```

The 8 most intense peaks (2θ = 10–90°), most intense first:
2theta  I_rel
32.28  100.0
28.43  98.2
37.17  64.1
37.05  59.3
56.20  52.4
34.85  45.7
34.97  40.2
48.35  30.6


4.
For MnAgO4, the PBE+U geometry in the Materials Project gives the computed powder diffraction line list in this record (λ = 1.5418 Å (Cu Kα)).
Kinematic intensities with the Lorentz-polarization factor, no thermal factor.

Structure:
```
MnAgO4
1.0
5.6341 0.0000 0.0000
0.0000 8.4093 0.0000
-5.3215 0.0000 7.1604
Mn Ag O
4 4 16
Direct
0.0968 0.1877 0.3395
0.0968 0.3123 0.8395
0.9032 0.6877 0.1605
0.9032 0.8123 0.6605
0.4143 0.5330 0.6651
0.4143 0.9670 0.1651
0.5857 0.0330 0.8349
0.5857 0.4670 0.3349
0.0632 0.1174 0.1559
0.0632 0.3826 0.6559
0.2308 0.7238 0.2160
0.2308 0.7762 0.7160
0.2626 0.0576 0.5072
0.2626 0.4424 0.0072
0.2937 0.1483 0.9068
0.2937 0.3517 0.4068
0.7063 0.6483 0.5932
0.7063 0.8517 0.0932
0.7374 0.5576 0.9928
0.7374 0.9424 0.4928
0.7692 0.2238 0.2840
0.7692 0.2762 0.7840
0.9368 0.6174 0.3441
0.9368 0.8826 0.8441
```

The 8 most intense peaks (2θ = 10–90°), most intense first:
2theta  I_rel
29.00  100.0
29.60  98.7
26.46  77.7
31.80  67.7
30.90  64.8
16.26  50.5
32.03  49.1
27.07  47.1